1.
Starting from a structure optimized by DFT (GGA-PBE), the powder diffraction line list of BaTaNiN3 was calculated for copper Kα.
Peak positions follow from Bragg's law for the DFT cell and can differ from measured ones.

Atomic structure:
```
data_BaTaNiN3
_symmetry_space_group_name_H-M 'P 1 21/m 1'
_symmetry_Int_Tables_number 11
_cell_length_a 7.206
_cell_length_b 3.303
_cell_length_c 7.857
_cell_angle_alpha 90.00
_cell_angle_beta 110.31
_cell_angle_gamma 90.00
loop_
_symmetry_equiv_pos_as_xyz
'x,y,z'
'-x,-y,-z'
'-x,y+1/2,-z'
'x,-y+1/2,z'
loop_
_atom_site_label
_atom_site_fract_x
_atom_site_fract_y
_atom_site_fract_z
Ba1 0.225 0.250 0.246
Ta1 0.321 0.750 0.863
Ni1 0.087 0.250 0.601
N1 0.143 0.250 0.870
N2 0.201 0.750 0.557
N3 0.469 0.750 0.137
```

Main lines, sorted by position (10° ≤ 2θ ≤ 80°):
2theta  I_rel
14.38  82
26.38  54
29.00  100
29.64  82
34.25  60
36.55  61
37.04  96
38.10  58
43.34  39
44.13  39

---

2.
Starting from a structure optimized by DFT (GGA-PBE), the powder diffraction line list of RbBaNpN3 was calculated for copper Kα.
Peak positions follow from Bragg's law for the DFT cell and can differ from measured ones.

Atomic structure:
```
data_RbBaNpN3
_symmetry_space_group_name_H-M 'C 1 2/c 1'
_symmetry_Int_Tables_number 15
_cell_length_a 6.400
_cell_length_b 13.585
_cell_length_c 6.148
_cell_angle_alpha 90.00
_cell_angle_beta 97.18
_cell_angle_gamma 90.00
loop_
_symmetry_equiv_pos_as_xyz
'x,y,z'
'-x,-y,-z'
'-x,y,-z+1/2'
'x,-y,z+1/2'
'x+1/2,y+1/2,z'
'-x+1/2,-y+1/2,-z'
'-x+1/2,y+1/2,-z+1/2'
'x+1/2,-y+1/2,z+1/2'
loop_
_atom_site_label
_atom_site_fract_x
_atom_site_fract_y
_atom_site_fract_z
Rb1 0.000 0.242 0.250
Ba1 0.000 0.409 0.750
Np1 0.000 0.063 0.750
N1 0.000 0.206 0.750
N2 0.197 0.024 0.498
```

Main lines, sorted by position (10° ≤ 2θ ≤ 80°):
2theta  I_rel
13.03  25
15.40  23
27.34  70
28.10  38
29.23  100
38.28  24
43.65  14
48.10  17
49.61  15
52.97  14

---

3.
Starting from a structure optimized by DFT (GGA-PBE), the powder diffraction line list of Ba3NpRe2N8 was calculated for copper Kα.
Peak positions follow from Bragg's law for the DFT cell and can differ from measured ones.

Atomic structure:
```
data_Ba3NpRe2N8
_symmetry_space_group_name_H-M 'P -3 m 1'
_symmetry_Int_Tables_number 164
_symmetry_space_group_name_Hall '-P 3 2"'
_cell_length_a 6.1107
_cell_length_b 6.1107
_cell_length_c 7.8426
_cell_angle_alpha 90.00
_cell_angle_beta 90.00
_cell_angle_gamma 120.00
loop_
_atom_site_label
_atom_site_fract_x
_atom_site_fract_y
_atom_site_fract_z
Ba1 0.0000 0.0000 0.0000
Ba2 0.3333 0.6667 0.6724
Np1 0.0000 0.0000 0.5000
Re1 0.3333 0.6667 0.2331
N1 0.1694 0.3388 0.3205
N2 0.3333 0.6667 0.0072
```

Main lines, sorted by position (10° ≤ 2θ ≤ 80°):
2theta  I_rel
11.28  11
20.24  12
28.33  90
29.23  100
41.16  40
51.27  36
51.83  21
55.70  13
60.61  15
68.23  16

---

4.
Starting from a structure optimized by DFT (GGA-PBE), the powder diffraction line list of Ba2NpSi2N6 was calculated for copper Kα.
Peak positions follow from Bragg's law for the DFT cell and can differ from measured ones.

Atomic structure:
```
data_Ba2NpSi2N6
_symmetry_space_group_name_H-M 'R -3 m'
_symmetry_Int_Tables_number 166
_symmetry_space_group_name_Hall '-R 3 2"'
_cell_length_a 5.8638
_cell_length_b 5.8638
_cell_length_c 17.8123
_cell_angle_alpha 90.00
_cell_angle_beta 90.00
_cell_angle_gamma 120.00
loop_
_atom_site_label
_atom_site_fract_x
_atom_site_fract_y
_atom_site_fract_z
Ba1 0.0000 0.0000 0.2146
Np1 0.0000 0.0000 0.0000
Si1 0.0000 0.0000 0.4092
N1 0.0029 0.5014 0.2574
```

Main lines, sorted by position (10° ≤ 2θ ≤ 80°):
2theta  I_rel
18.17  70
26.62  55
30.49  99
30.66  100
40.91  31
43.78  34
51.87  19
54.19  20
54.29  39
56.06  27